# Ba3LiMo2O9
Simulated powder X-ray diffraction pattern, Cu Kα (λ = 1.5418 Å). Input: a structure optimized by DFT (PBE+U).
Intensities are scaled so that the largest is 1000.

Most intense lines, 5° ≤ 2θ ≤ 70°, low angle first:
2θ = 17.50°, d = 5.067 Å, intensity 66, (1 0 0); 2θ = 21.50°, d = 4.133 Å, intensity 128, (1 0 1); 2θ = 30.59°, d = 2.922 Å, intensity 1000, (1 1 0); 2θ = 37.67°, d = 2.388 Å, intensity 118, (0 2 1); 2θ = 43.81°, d = 2.066 Å, intensity 328, (2 0 2); 2θ = 49.30°, d = 1.848 Å, intensity 49, (1 1 3); 2θ = 54.35°, d = 1.688 Å, intensity 297, (3 0 0); 2θ = 54.48°, d = 1.684 Å, intensity 98, (1 0 4); 2θ = 63.62°, d = 1.463 Å, intensity 100, (2 2 0); 2θ = 63.76°, d = 1.460 Å, intensity 100, (0 2 4)

Structure:
```
15
Lattice="5.8504 0.0000 0.0000 -2.9252 5.0666 0.0000 0.0000 0.0000 7.1435" Properties=species:S:1:pos:R:3 pbc="T T T"
Ba 0.0000 0.0000 0.0000
Ba 0.0000 3.3778 4.7433
Ba 2.9252 1.6889 2.4002
Li 0.0000 0.0000 3.5718
Mo 0.0000 3.3778 1.2541
Mo 2.9252 1.6889 5.8894
O -1.4626 2.5333 0.0000
O 0.0000 1.7767 2.2621
O -1.3866 4.1783 2.2621
O 1.5386 0.8883 4.8814
O 2.9252 0.0000 0.0000
O 1.4626 2.5333 0.0000
O 1.3866 4.1783 2.2621
O 4.3118 0.8883 4.8814
O 2.9252 3.2900 4.8814
```